This entry pairs a crystal structure of Zn2CdCu with its calculated powder X-ray diffraction pattern. Radiation: Cu Kα (λ = 1.5418 Å). Structure: a cell relaxed with PBE.
Kinematic intensities with the Lorentz-polarization factor, no thermal factor.

Structure:
Unit cell a=6.2732 b=6.2732 c=6.2732 alpha=90.00 beta=90.00 gamma=90.00
Positions (direct):
Zn 0.0000 0.0000 0.0000
Zn 0.0000 0.5000 0.5000
Zn 0.2500 0.2500 0.2500
Zn 0.2500 0.7500 0.7500
Zn 0.5000 0.0000 0.5000
Zn 0.5000 0.5000 0.0000
Zn 0.7500 0.2500 0.7500
Zn 0.7500 0.7500 0.2500
Cd 0.2500 0.2500 0.7500
Cd 0.2500 0.7500 0.2500
Cd 0.7500 0.2500 0.2500
Cd 0.7500 0.7500 0.7500
Cu 0.0000 0.0000 0.5000
Cu 0.0000 0.5000 0.0000
Cu 0.5000 0.0000 0.0000
Cu 0.5000 0.5000 0.5000

Principal peaks in the range 10 to 90 degrees two-theta, by angle:
2theta	I_rel
24.58	4.5
28.46	2.5
40.68	100.0
48.11	2.1
50.39	0.7
58.89	15.9
64.78	0.8
66.68	0.9
74.03	30.9
79.37	0.7
88.08	9.8